# Ce2NpTaN6
Calculated XRD peak list, Cu Kα, 1.54184 Å. Input: a cell relaxed with PBE.

Top 10 peaks for 2θ = 15–90°, by angle:
| d_spacing | I_rel | h k l |
| --- | --- | --- |
| 4.082 | 9.9 | 1 1 -1 |
| 2.908 | 23.3 | 0 2 0 |
| 2.886 | 100.0 | 1 1 1 |
| 2.868 | 24.2 | 2 0 -2 |
| 2.041 | 32.0 | 0 0 4 |
| 1.675 | 16.2 | 1 3 -3 |
| 1.669 | 10.2 | 0 2 4 |
| 1.661 | 22.1 | 2 0 2 |
| 1.659 | 11.1 | 3 1 -5 |
| 1.443 | 12.4 | 2 2 2 |

```
20
Lattice="5.736 0.000 0.000 0.000 5.816 0.000 -5.731 0.000 8.156" Properties=species:S:1:pos:R:3 pbc="T T T"
Ce -0.053 0.274 2.049
Ce -2.919 2.634 6.127
Ce 2.923 3.182 2.029
Ce 0.058 5.542 6.107
Np 2.868 0.000 0.000
Np 0.002 2.908 4.078
Ta -2.866 0.000 4.078
Ta 0.000 2.908 0.000
N -4.587 1.169 7.706
N -1.721 1.739 3.628
N -4.052 4.058 7.690
N -1.186 4.666 3.612
N -2.247 0.188 6.081
N 0.619 2.720 2.004
N -0.615 3.096 6.152
N 2.251 5.628 2.074
N 1.190 1.150 4.543
N 4.056 1.758 0.466
N 1.725 4.077 4.527
N 4.591 4.647 0.450
```



# Tb2CeNpN4
Calculated XRD peak list, Cu Kα, 1.54184 Å. Input: a cell relaxed with PBE.

Top 10 peaks for 2θ = 15–90°, by angle:
| d_spacing | I_rel | h k l |
| --- | --- | --- |
| 2.859 | 100.0 | 2 0 0 |
| 2.476 | 69.9 | 1 1 1 |
| 1.753 | 24.4 | 2 0 2 |
| 1.749 | 24.2 | 0 2 0 |
| 1.494 | 18.9 | 3 1 1 |
| 1.492 | 26.3 | 4 0 -2 |
| 1.429 | 12.3 | 2 2 -2 |
| 1.135 | 9.7 | 5 1 -1 |
| 1.108 | 11.2 | 0 2 4 |
| 1.106 | 11.1 | 1 3 1 |

```
8
Lattice="6.060 0.000 0.000 0.000 3.498 0.000 -2.016 0.000 5.730" Properties=species:S:1:pos:R:3 pbc="T T T"
Tb 0.000 0.000 0.000
Tb 3.030 1.749 0.000
Ce -1.008 1.749 2.865
Np 2.022 0.000 2.865
N 0.063 0.000 4.265
N 1.066 1.749 1.483
N 2.979 1.749 4.247
N 3.982 0.000 1.465
```



Copy entry 1 word for word.
# Ce2NpTaN6
Calculated XRD peak list, Cu Kα, 1.54184 Å. Input: a cell relaxed with PBE.

Top 10 peaks for 2θ = 15–90°, by angle:
| d_spacing | I_rel | h k l |
| --- | --- | --- |
| 4.082 | 9.9 | 1 1 -1 |
| 2.908 | 23.3 | 0 2 0 |
| 2.886 | 100.0 | 1 1 1 |
| 2.868 | 24.2 | 2 0 -2 |
| 2.041 | 32.0 | 0 0 4 |
| 1.675 | 16.2 | 1 3 -3 |
| 1.669 | 10.2 | 0 2 4 |
| 1.661 | 22.1 | 2 0 2 |
| 1.659 | 11.1 | 3 1 -5 |
| 1.443 | 12.4 | 2 2 2 |

```
20
Lattice="5.736 0.000 0.000 0.000 5.816 0.000 -5.731 0.000 8.156" Properties=species:S:1:pos:R:3 pbc="T T T"
Ce -0.053 0.274 2.049
Ce -2.919 2.634 6.127
Ce 2.923 3.182 2.029
Ce 0.058 5.542 6.107
Np 2.868 0.000 0.000
Np 0.002 2.908 4.078
Ta -2.866 0.000 4.078
Ta 0.000 2.908 0.000
N -4.587 1.169 7.706
N -1.721 1.739 3.628
N -4.052 4.058 7.690
N -1.186 4.666 3.612
N -2.247 0.188 6.081
N 0.619 2.720 2.004
N -0.615 3.096 6.152
N 2.251 5.628 2.074
N 1.190 1.150 4.543
N 4.056 1.758 0.466
N 1.725 4.077 4.527
N 4.591 4.647 0.450
```